Starting from a crystal structure in Alexandria, relaxed with PBE+U, the X-ray diffraction stick pattern of La2MnAlO6 was computed for Cu Kα X-rays.
No peak broadening, texture or thermal motion is included.

Structure:
```
data_La2MnAlO6
_symmetry_space_group_name_H-M 'P 4/m m m'
_symmetry_Int_Tables_number 123
_symmetry_space_group_name_Hall '-P 4 2'
_cell_length_a 3.8815
_cell_length_b 3.8815
_cell_length_c 7.7489
_cell_angle_alpha 90.00
_cell_angle_beta 90.00
_cell_angle_gamma 90.00
loop_
_atom_site_label
_atom_site_type_symbol
_atom_site_fract_x
_atom_site_fract_y
_atom_site_fract_z
La1 La 0.0000 0.0000 0.2465
Mn1 Mn 0.5000 0.5000 0.5000
Al1 Al 0.5000 0.5000 0.0000
O1 O 0.0000 0.5000 0.0000
O2 O 0.0000 0.5000 0.5000
O3 O 0.5000 0.5000 0.2404
```

The 11 most intense peaks (2θ = 5–70°), sorted by position:
2θ/deg, I/Imax
11.42, 1
22.93, 27
25.67, 1
32.65, 100
34.71, 1
40.27, 29
46.84, 34
48.38, 1
52.77, 13
58.26, 38
68.40, 20